Diffraction record for CaTi2PbO6. The powder XRD pattern is calculated, not measured: it uses a cell relaxed with PBE and Cu Ka.

Principal peaks in the range 2θ from 15° to 90°, by angle:
2θ = 15.30°, rel. 62, hkl 0 1 1
2θ = 27.99°, rel. 34, hkl 1 1 1
2θ = 30.91°, rel. 100, hkl 0 2 2
2θ = 33.12°, rel. 38, hkl 1 2 0
2θ = 39.04°, rel. 26, hkl 1 2 2
2θ = 40.41°, rel. 15, hkl 1 1 3
2θ = 47.47°, rel. 22, hkl 0 4 0
2θ = 53.53°, rel. 25, hkl 1 2 4
2θ = 57.73°, rel. 17, hkl 1 4 2
2θ = 57.85°, rel. 17, hkl 2 2 2

Cell and atoms:
Cell: 3.8184 7.6646 8.8437 Å, 90.00 90.00 90.00°
Space group Amm2 (No. 38)
One atom of each set of equivalent atoms:
Ca  0.0000  0.0000  0.0000 [2 per cell]
Ti  0.5000  0.2469  0.2867 [4 per cell]
Pb  0.0000  0.0000  0.5231 [2 per cell]
O  0.0000  0.2485  0.3396 [4 per cell]
O  0.5000  0.0000  0.3559 [2 per cell]
O  0.5000  0.0000  0.8190 [2 per cell]
O  0.5000  0.2142  0.0889 [4 per cell]